[1]
Diffraction record for Ba2SrI6. The powder XRD pattern is theoretical, not measured: it uses a DFT-relaxed cell (GGA-PBE, Alexandria) and λ = 1.5418 Å (Cu Kα).
No peak broadening, texture or thermal motion is included.

Principal peaks in the range 15 to 90 degrees two-theta, in order of falling intensity:
Position (°2θ), I/Imax
23.94, 100
31.17, 62
36.83, 38
16.59, 32
40.68, 23
60.72, 17

Atomic structure:
```
Ba2SrI6
1.0
14.641 0.000 0.000
-7.321 12.680 0.000
0.000 0.000 7.815
Ba Sr I
6 3 18
Direct
0.000 0.307 0.000
0.000 0.642 0.500
0.307 0.000 0.000
0.358 0.358 0.500
0.642 0.000 0.500
0.693 0.693 0.000
0.000 0.000 0.500
0.333 0.667 0.993
0.667 0.333 0.007
0.086 0.873 0.261
0.120 0.541 0.236
0.127 0.214 0.261
0.214 0.127 0.739
0.224 0.453 0.751
0.229 0.776 0.751
0.421 0.880 0.236
0.453 0.224 0.249
0.459 0.579 0.236
0.541 0.120 0.764
0.547 0.771 0.751
0.579 0.459 0.764
0.771 0.547 0.249
0.776 0.229 0.249
0.786 0.914 0.261
0.873 0.086 0.739
0.880 0.421 0.764
0.914 0.786 0.739
```

[2]
Diffraction record for BaNa2PtCl8. The powder XRD pattern is theoretical, not measured: it uses a DFT-relaxed cell (GGA-PBE, Alexandria) and λ = 1.5418 Å (Cu Kα).
No peak broadening, texture or thermal motion is included.

Principal peaks in the range 15 to 90 degrees two-theta, in order of falling intensity:
Position (°2θ), I/Imax
15.52, 100
34.84, 52
26.66, 47
27.04, 41
38.34, 37
47.54, 21

Atomic structure:
```
BaNa2PtCl8
1.0
6.595 0.000 0.000
-3.297 5.711 0.000
0.000 0.000 8.248
Ba Na Pt Cl
1 2 1 8
Direct
0.000 0.000 0.000
0.333 0.667 0.349
0.667 0.333 0.651
0.000 0.000 0.500
0.165 0.329 0.669
0.165 0.835 0.669
0.329 0.165 0.331
0.333 0.667 0.032
0.667 0.333 0.968
0.671 0.835 0.669
0.835 0.165 0.331
0.835 0.671 0.331
```

[3]
Diffraction record for B7N6. The powder XRD pattern is theoretical, not measured: it uses a DFT-relaxed cell (GGA-PBE, Alexandria) and λ = 1.5418 Å (Cu Kα).
No peak broadening, texture or thermal motion is included.

Principal peaks in the range 15 to 90 degrees two-theta, in order of falling intensity:
Position (°2θ), I/Imax
27.98, 100
49.51, 54
39.99, 31
72.63, 24
79.53, 20
44.95, 17

Atomic structure:
```
B7N6
1.0
4.509 0.000 0.000
0.000 4.509 0.000
0.000 0.000 4.509
B N
7 6
Direct
0.000 0.000 0.000
0.000 0.247 0.500
0.000 0.753 0.500
0.247 0.500 0.000
0.500 0.000 0.247
0.500 0.000 0.753
0.753 0.500 0.000
0.000 0.500 0.252
0.000 0.500 0.748
0.252 0.000 0.500
0.500 0.252 0.000
0.500 0.748 0.000
0.748 0.000 0.500
```

[4]
Diffraction record for Hf4Cd2O. The powder XRD pattern is theoretical, not measured: it uses a DFT-relaxed cell (GGA-PBE, Alexandria) and λ = 1.5418 Å (Cu Kα).
No peak broadening, texture or thermal motion is included.

Principal peaks in the range 15 to 90 degrees two-theta, in order of falling intensity:
Position (°2θ), I/Imax
38.00, 100
31.66, 88
41.89, 62
56.30, 42
35.85, 39
73.93, 29

Atomic structure:
```
Hf4Cd2O
1.0
-2.156 2.156 7.514
2.156 -2.156 7.514
2.156 2.156 -7.514
Hf Cd O
4 2 1
Direct
0.000 0.500 0.500
0.164 0.164 0.000
0.500 0.000 0.500
0.836 0.836 0.000
0.358 0.358 0.000
0.642 0.642 0.000
0.000 0.000 0.000
```

[5]
Diffraction record for Nd2HoCd6. The powder XRD pattern is theoretical, not measured: it uses a DFT-relaxed cell (GGA-PBE, Alexandria) and λ = 1.5418 Å (Cu Kα).
No peak broadening, texture or thermal motion is included.

Principal peaks in the range 15 to 90 degrees two-theta, in order of falling intensity:
Position (°2θ), I/Imax
33.13, 100
35.52, 85
49.36, 32
62.28, 31
65.67, 27
63.79, 15

Atomic structure:
```
Nd2HoCd6
1.0
8.754 0.000 0.000
-4.377 7.581 0.000
0.000 0.000 3.439
Nd Ho Cd
2 1 6
Direct
0.333 0.667 0.000
0.667 0.333 0.000
0.000 0.000 0.000
0.000 0.330 0.500
0.000 0.670 0.500
0.330 0.000 0.500
0.330 0.330 0.500
0.670 0.000 0.500
0.670 0.670 0.500
```

[6]
Diffraction record for La3Nd3Sm2. The powder XRD pattern is theoretical, not measured: it uses a DFT-relaxed cell (GGA-PBE, Alexandria) and λ = 1.5418 Å (Cu Kα).
No peak broadening, texture or thermal motion is included.

Principal peaks in the range 15 to 90 degrees two-theta, in order of falling intensity:
Position (°2θ), I/Imax
31.52, 100
31.68, 53
31.55, 42
27.32, 35
56.18, 18
29.17, 15

Atomic structure:
```
La3Nd3Sm2
1.0
5.671 0.000 0.000
0.000 16.917 0.000
-2.831 0.000 6.041
La Nd Sm
6 6 4
Direct
0.032 0.250 0.063
0.125 0.548 0.251
0.125 0.952 0.251
0.875 0.048 0.749
0.875 0.452 0.749
0.968 0.750 0.937
0.245 0.750 0.492
0.432 0.595 0.865
0.432 0.905 0.865
0.568 0.095 0.135
0.568 0.405 0.135
0.755 0.250 0.508
0.270 0.135 0.537
0.270 0.365 0.537
0.730 0.635 0.463
0.730 0.865 0.463
```

[7]
Diffraction record for Cs3As2S4. The powder XRD pattern is theoretical, not measured: it uses a DFT-relaxed cell (GGA-PBE, Alexandria) and λ = 1.5418 Å (Cu Kα).
No peak broadening, texture or thermal motion is included.

Principal peaks in the range 15 to 90 degrees two-theta, in order of falling intensity:
Position (°2θ), I/Imax
22.65, 100
22.73, 73
33.21, 51
29.73, 45
29.85, 45
28.41, 41

Atomic structure:
```
Cs3As2S4
1.0
7.875 -5.126 0.000
7.875 5.126 0.000
-0.584 0.000 8.949
Cs As S
6 4 8
Direct
0.019 0.981 0.750
0.264 0.469 0.102
0.469 0.264 0.602
0.531 0.736 0.398
0.736 0.531 0.898
0.981 0.019 0.250
0.027 0.351 0.531
0.351 0.027 0.031
0.649 0.973 0.969
0.973 0.649 0.469
0.113 0.326 0.765
0.205 0.657 0.480
0.326 0.113 0.265
0.343 0.795 0.020
0.657 0.205 0.980
0.674 0.887 0.735
0.795 0.343 0.520
0.887 0.674 0.235
```

[8]
Diffraction record for Nd3Sm4Dy4. The powder XRD pattern is theoretical, not measured: it uses a DFT-relaxed cell (GGA-PBE, Alexandria) and λ = 1.5418 Å (Cu Kα).
No peak broadening, texture or thermal motion is included.

Principal peaks in the range 15 to 90 degrees two-theta, in order of falling intensity:
Position (°2θ), I/Imax
31.80, 100
31.06, 38
30.33, 30
55.70, 27
30.70, 16
33.40, 15

Atomic structure:
```
Nd3Sm4Dy4
1.0
10.731 0.000 0.000
0.000 2.880 6.052
0.000 -2.880 6.052
Nd Sm Dy
3 4 4
Direct
0.000 0.000 0.000
0.293 0.154 0.154
0.707 0.154 0.154
0.000 0.705 0.705
0.212 0.498 0.498
0.500 0.631 0.631
0.788 0.498 0.498
0.000 0.300 0.300
0.300 0.849 0.849
0.500 0.360 0.360
0.700 0.849 0.849
```